[1]
Structure and computed powder XRD pattern of TaTi6H8 (a structure optimized by DFT (GGA-PBE); Cu Ka).
Lines closer than 0.1° are merged.

Most intense lines, 2θ from 10° to 90°, most intense first:
two_theta  d_spacing  I/Imax
36.60  2.455  100.0
42.55  2.125  66.1
17.65  5.025  45.8
73.94  1.282  35.2
36.72  2.447  30.3
22.34  3.980  22.4

Cell and atoms:
```
15
Lattice="3.980 2.298 2.447 -3.980 2.298 2.447 0.000 -4.595 2.447" Properties=species:S:1:pos:R:3 pbc="T T T"
Ta 0.000 0.000 0.000
Ti -0.584 -1.693 2.503
Ti -1.174 1.352 2.503
Ti -1.758 -0.341 4.839
Ti 1.758 0.341 2.503
Ti 1.174 -1.352 4.839
Ti 0.584 1.693 4.839
H -2.169 -1.955 3.742
H -2.778 0.901 3.599
H 0.000 0.000 1.938
H 0.609 -2.856 3.599
H -0.609 2.856 3.742
H 0.000 0.000 5.404
H 2.778 -0.901 3.742
H 2.169 1.955 3.599
```

---

[2]
Structure and computed powder XRD pattern of CsSm2AgSe4 (a structure optimized by DFT (GGA-PBE); Cu Ka).
Lines closer than 0.1° are merged.

Most intense lines, 2θ from 10° to 90°, most intense first:
two_theta  d_spacing  I/Imax
29.89  2.990  100.0
28.03  3.183  64.7
41.02  2.200  47.1
41.75  2.164  34.3
21.36  4.160  30.8
13.30  6.657  29.3

Cell and atoms:
```
16
Lattice="2.164 -7.420 0.000 2.164 7.420 0.000 0.000 0.000 15.072" Properties=species:S:1:pos:R:3 pbc="T T T"
Cs 2.164 5.703 11.304
Cs 2.164 -5.703 3.768
Sm 2.164 1.950 8.517
Sm 2.164 1.950 14.091
Sm 2.164 -1.950 0.981
Sm 2.164 -1.950 6.555
Ag 2.164 4.978 3.768
Ag 2.164 -4.978 11.304
Se 0.000 0.000 0.000
Se 0.000 0.000 7.536
Se 2.164 3.580 1.512
Se 2.164 3.580 6.024
Se 2.164 0.960 11.304
Se 2.164 -0.960 3.768
Se 2.164 -3.580 9.048
Se 2.164 -3.580 13.560
```

---

[3]
Structure and computed powder XRD pattern of Ho2PuBi3 (a structure optimized by DFT (GGA-PBE); Cu Ka).
Lines closer than 0.1° are merged.

Most intense lines, 2θ from 10° to 90°, most intense first:
two_theta  d_spacing  I/Imax
28.11  3.174  100.0
40.18  2.244  78.5
49.75  1.833  28.6
65.73  1.421  25.3
72.97  1.297  18.8
65.90  1.417  12.5

Cell and atoms:
```
12
Lattice="4.494 0.000 0.000 0.000 4.494 0.000 0.000 0.000 19.004" Properties=species:S:1:pos:R:3 pbc="T T T"
Ho 0.000 0.000 3.168
Ho 0.000 0.000 15.836
Ho 2.247 2.247 6.334
Ho 2.247 2.247 12.670
Pu 0.000 0.000 9.502
Pu 2.247 2.247 0.000
Bi 0.000 0.000 0.000
Bi 0.000 0.000 6.307
Bi 0.000 0.000 12.696
Bi 2.247 2.247 3.194
Bi 2.247 2.247 9.502
Bi 2.247 2.247 15.809
```